No. 1
The following is a theoretical powder XRD pattern of Li3Co4WO8. It was derived from a DFT-relaxed cell (GGA+U, Alexandria), using Cu Kα.
Intensities are scaled so that the largest is 100.

Largest 8 diffraction maxima, by angle, 2θ from 10° to 90°:
d (Å), Rel. int.
4.949, 78
4.938, 100
2.612, 50
2.472, 56
2.171, 83
2.092, 37
1.510, 23
1.503, 23

Structural model:
```
Li3Co4WO8
1.0
5.1744 -3.0674 0.0000
5.1744 3.0674 0.0000
-3.6165 0.0000 4.9700
Li Co W O
3 4 1 8
direct
0.0000 0.0000 0.0000 Li
0.0000 0.5000 0.5000 Li
0.5000 0.0000 0.5000 Li
0.0000 0.0000 0.5000 Co
0.0000 0.5000 0.0000 Co
0.5000 0.0000 0.0000 Co
0.5000 0.5000 0.0000 Co
0.5000 0.5000 0.5000 W
0.2495 0.2495 0.7723 O
0.2584 0.7343 0.7346 O
0.2656 0.2656 0.2698 O
0.2657 0.7416 0.2654 O
0.7343 0.2584 0.7346 O
0.7344 0.7344 0.7302 O
0.7416 0.2657 0.2654 O
0.7505 0.7505 0.2277 O
```

---

No. 2
The following is a theoretical powder XRD pattern of LiCoW2O8. It was derived from a DFT-relaxed cell (GGA+U, Alexandria), using Cu Kα.
Intensities are scaled so that the largest is 100.

Largest 8 diffraction maxima, by angle, 2θ from 10° to 90°:
d (Å), Rel. int.
4.745, 100
4.500, 59
3.755, 90
3.224, 58
3.107, 57
3.053, 33
2.803, 47
2.730, 41

Structural model:
```
LiCoW2O8
1.0
4.9799 0.0000 0.0000
2.3106 5.1154 0.0000
0.0637 2.1876 5.4327
Li Co W O
1 1 2 8
direct
0.0000 0.0000 0.0000 Li
0.5303 0.9421 0.6901 Co
0.3021 0.4167 0.0371 W
0.7672 0.4583 0.3705 W
0.2107 0.2247 0.3767 O
0.2734 0.1904 0.8879 O
0.3228 0.7161 0.7791 O
0.3630 0.6541 0.2420 O
0.7103 0.2225 0.1588 O
0.7421 0.1659 0.6399 O
0.7791 0.6852 0.5210 O
0.8649 0.6624 0.0321 O
```

---

No. 3
The following is a theoretical powder XRD pattern of LiZnCo4O8. It was derived from a DFT-relaxed cell (GGA+U, Alexandria), using Cu Kα.
Intensities are scaled so that the largest is 100.

Largest 8 diffraction maxima, by angle, 2θ from 10° to 90°:
d (Å), Rel. int.
5.752, 56
4.294, 47
3.733, 100
2.876, 45
2.680, 48
2.439, 85
2.402, 52
1.742, 50

Structural model:
```
LiZnCo4O8
1.0
6.6950 -1.4559 0.0000
6.6950 1.4559 0.0000
-4.4524 0.0000 7.4729
Li Zn Co O
1 1 4 8
direct
0.0000 0.0000 0.0000 Li
0.5773 0.5773 0.7740 Zn
0.1085 0.1085 0.4403 Co
0.3515 0.3515 0.1534 Co
0.6901 0.6901 0.1844 Co
0.8124 0.8124 0.7661 Co
0.1182 0.1182 0.2376 O
0.1351 0.1351 0.6781 O
0.1749 0.1749 0.0082 O
0.4331 0.4331 0.8116 O
0.5072 0.5072 0.3560 O
0.7186 0.7186 0.5236 O
0.8444 0.8444 0.2924 O
0.8583 0.8583 0.0129 O
```

---

No. 4
The following is a theoretical powder XRD pattern of LiZnCo4O8. It was derived from a DFT-relaxed cell (GGA+U, Alexandria), using Cu Kα.
Intensities are scaled so that the largest is 100.

Largest 8 diffraction maxima, by angle, 2θ from 10° to 90°:
d (Å), Rel. int.
7.132, 100
5.526, 94
4.671, 39
2.997, 62
2.764, 57
2.475, 88
2.373, 37
1.795, 52

Structural model:
```
LiZnCo4O8
1.0
7.2206 -1.4495 0.0000
7.2206 1.4495 0.0000
-6.0119 0.0000 7.1494
Li Zn Co O
1 1 4 8
direct
0.0000 0.0000 0.0000 Li
0.1717 0.1717 0.6697 Zn
0.1452 0.1452 0.3336 Co
0.3572 0.3572 0.0489 Co
0.6583 0.6583 0.9998 Co
0.8568 0.8568 0.6687 Co
0.0500 0.0500 0.8553 O
0.2708 0.2708 0.1333 O
0.3191 0.3191 0.5094 O
0.3686 0.3686 0.8260 O
0.6307 0.6307 0.1712 O
0.6575 0.6575 0.5033 O
0.7149 0.7149 0.8603 O
0.9706 0.9706 0.1720 O
```

---

No. 5
The following is a theoretical powder XRD pattern of LiZnCo4O8. It was derived from a DFT-relaxed cell (GGA+U, Alexandria), using Cu Kα.
Intensities are scaled so that the largest is 100.

Largest 8 diffraction maxima, by angle, 2θ from 10° to 90°:
d (Å), Rel. int.
4.247, 78
3.722, 100
3.654, 44
3.531, 71
3.070, 44
2.745, 70
2.525, 47
2.518, 58

Structural model:
```
LiZnCo4O8
1.0
2.9036 0.0000 0.0000
1.0412 7.3855 0.0000
0.0664 2.6642 7.0628
Li Zn Co O
1 1 4 8
direct
0.0000 0.0000 0.0000 Li
0.7092 0.4414 0.6739 Zn
0.0974 0.8407 0.3642 Co
0.1278 0.0152 0.6570 Co
0.4047 0.2971 0.0945 Co
0.7148 0.6553 0.0493 Co
0.1567 0.5991 0.5336 O
0.1614 0.7917 0.8960 O
0.2682 0.5132 0.1915 O
0.5758 0.9408 0.5180 O
0.6132 0.8251 0.1839 O
0.6602 0.1623 0.7391 O
0.8198 0.4507 0.9389 O
0.9745 0.1298 0.1868 O
```

---

No. 6
The following is a theoretical powder XRD pattern of LiZnCo4O8. It was derived from a DFT-relaxed cell (GGA+U, Alexandria), using Cu Kα.
Intensities are scaled so that the largest is 100.

Largest 8 diffraction maxima, by angle, 2θ from 10° to 90°:
d (Å), Rel. int.
7.110, 80
6.676, 50
5.527, 87
2.790, 96
2.763, 100
2.487, 93
2.448, 60
2.385, 64

Structural model:
```
LiZnCo4O8
1.0
2.9036 0.0000 0.0000
1.4427 6.8521 0.0000
1.4312 1.6422 7.1101
Li Zn Co O
1 1 4 8
direct
0.0000 0.0000 0.0000 Li
0.7996 0.0820 0.3249 Zn
0.1021 0.1223 0.6723 Co
0.3256 0.3834 0.9686 Co
0.5360 0.5134 0.3533 Co
0.7877 0.7590 0.6617 Co
0.2700 0.9256 0.5286 O
0.2920 0.6207 0.7934 O
0.3732 0.1193 0.1393 O
0.6141 0.2531 0.5190 O
0.6159 0.9606 0.8074 O
0.7118 0.4699 0.1128 O
0.9312 0.2916 0.8472 O
0.9559 0.6382 0.4388 O
```